Diffraction record for LuCd2. The powder diffractogram is computed, not measured: it uses a GGA-PBE-relaxed structure and Cu Ka.
Intensities are scaled so that the largest is 100.

Most intense lines, 2θ = 10–80°, most intense first:
2θ (°)  d (Å)  I (rel.)  index
33.83  2.649  100.0  1 0 1
36.33  2.473  80.7  1 1 0
50.49  1.808  32.0  2 0 1
63.78  1.459  31.4  2 1 1
67.21  1.393  25.8  1 1 2
65.37  1.428  14.0  3 0 0
77.15  1.236  8.7  2 2 0
54.42  1.686  8.2  0 0 2
20.74  4.283  6.6  1 0 0
45.49  1.994  1.5  1 1 1

Structural model:
Lattice parameters (Å, degrees): 4.9455 4.9455 3.3718 90.00 90.00 120.00
Space group P6/mmm (No. 191)
Asymmetric unit:
Lu1 0.0000 0.0000 0.0000
Cd1 0.3333 0.6667 0.5000

=====

Diffraction record for LuCd2. The powder diffractogram is computed, not measured: it uses a GGA-PBE-relaxed structure and Cu Ka.
Intensities are scaled so that the largest is 100.

Most intense lines, 2θ = 10–80°, most intense first:
2θ (°)  d (Å)  I (rel.)  index
33.54  2.672  100.0  0 1 1
36.53  2.460  77.5  1 1 0
50.42  1.810  31.4  2 0 1
63.85  1.458  30.5  1 2 1
66.45  1.407  25.3  1 1 2
65.75  1.420  13.4  3 0 0
77.63  1.230  8.3  2 2 0
53.41  1.715  8.3  0 0 2
20.85  4.261  6.4  1 0 0
57.96  1.591  1.6  1 0 2

Structural model:
Lattice parameters (Å, degrees): 4.9198 4.9198 3.4307 90.00 90.00 120.00
Space group P-3m1 (No. 164)
Asymmetric unit:
Lu1 0.0000 0.0000 0.0000
Cd1 0.3333 0.6667 0.4818

=====

Diffraction record for LuCd3. The powder diffractogram is computed, not measured: it uses a GGA-PBE-relaxed structure and Cu Ka.
Intensities are scaled so that the largest is 100.

Most intense lines, 2θ = 10–80°, most intense first:
2θ (°)  d (Å)  I (rel.)  index
35.29  2.544  100.0  2 2 1
33.63  2.665  38.0  0 4 0
37.15  2.420  27.7  0 0 2
65.77  1.420  15.7  2 2 3
38.54  2.336  14.0  0 4 1
50.95  1.792  11.6  0 4 2
57.78  1.596  11.4  3 5 0
29.89  2.990  8.4  2 2 0
50.57  1.805  8.0  4 0 0
64.39  1.447  7.6  4 0 2

Structural model:
Lattice parameters (Å, degrees): 7.220 10.667 4.840 90.00 90.00 90.00
Space group Cmcm (No. 63)
Asymmetric unit:
Lu1 0.000 0.129 0.250
Cd1 0.000 0.321 0.750
Cd2 0.215 0.402 0.250

=====

Diffraction record for Lu4CdNi. The powder diffractogram is computed, not measured: it uses a GGA-PBE-relaxed structure and Cu Ka.
Intensities are scaled so that the largest is 100.

Most intense lines, 2θ = 10–80°, most intense first:
2θ (°)  d (Å)  I (rel.)  index
35.31  2.542  100.0  5 1 1
33.23  2.696  60.0  4 2 2
59.37  1.557  52.2  6 6 0
29.48  3.030  36.2  3 3 1
38.56  2.335  27.4  4 4 0
71.00  1.328  15.9  9 3 3
57.08  1.614  14.2  7 3 3
60.72  1.525  12.8  5 5 5
73.06  1.295  8.2  10 2 0
53.27  1.720  8.1  5 5 3

Structural model:
Lattice parameters (Å, degrees): 13.209 13.209 13.209 90.00 90.00 90.00
Space group F-43m (No. 216)
Asymmetric unit:
Lu1 0.000 0.000 0.187
Lu2 0.061 0.250 0.750
Lu3 0.099 0.099 0.401
Cd1 0.168 0.168 0.168
Ni1 0.108 0.108 0.608

=====

Diffraction record for LuCdNi4. The powder diffractogram is computed, not measured: it uses a GGA-PBE-relaxed structure and Cu Ka.
Intensities are scaled so that the largest is 100.

Most intense lines, 2θ = 10–80°, most intense first:
2θ (°)  d (Å)  I (rel.)  index
43.10  2.099  100.0  3 1 1
36.51  2.461  58.7  2 2 0
70.26  1.340  29.7  5 1 1
77.58  1.231  21.9  4 4 0
65.71  1.421  20.7  4 2 2
45.12  2.010  18.2  2 2 2
22.12  4.019  11.1  1 1 1
25.59  3.481  3.1  2 0 0
57.73  1.597  3.1  3 3 1
59.37  1.557  1.3  4 2 0

Structural model:
Lattice parameters (Å, degrees): 6.961 6.961 6.961 90.00 90.00 90.00
Space group F-43m (No. 216)
Asymmetric unit:
Lu1 0.000 0.000 0.000
Cd1 0.250 0.250 0.250
Ni1 0.124 0.124 0.624

=====

Diffraction record for LuCdPd2. The powder diffractogram is computed, not measured: it uses a GGA-PBE-relaxed structure and Cu Ka.
Intensities are scaled so that the largest is 100.

Most intense lines, 2θ = 10–80°, most intense first:
2θ (°)  d (Å)  I (rel.)  index
37.94  2.372  100.0  2 2 0
68.53  1.369  34.3  4 2 2
54.74  1.677  17.1  4 0 0
22.96  3.873  3.1  1 1 1
26.58  3.354  2.4  2 0 0
44.81  2.022  1.8  3 1 1
61.86  1.500  1.0  4 2 0
60.13  1.539  0.8  3 3 1
46.92  1.936  0.7  2 2 2
73.34  1.291  0.6  5 1 1

Structural model:
Lattice parameters (Å, degrees): 6.708 6.708 6.708 90.00 90.00 90.00
Space group Fm-3m (No. 225)
Asymmetric unit:
Lu1 0.000 0.000 0.000
Cd1 0.000 0.000 0.500
Pd1 0.250 0.250 0.250

=====

Diffraction record for LuCdPt2. The powder diffractogram is computed, not measured: it uses a GGA-PBE-relaxed structure and Cu Ka.
Intensities are scaled so that the largest is 100.

Most intense lines, 2θ = 10–80°, most intense first:
2θ (°)  d (Å)  I (rel.)  index
37.98  2.369  100.0  2 2 0
68.61  1.368  35.4  4 2 2
54.79  1.675  17.4  4 0 0
26.60  3.351  2.4  2 0 0
22.99  3.869  1.7  1 1 1
61.92  1.498  1.1  4 2 0
44.86  2.021  1.0  3 1 1
46.97  1.935  0.8  2 2 2

Structural model:
Lattice parameters (Å, degrees): 6.701 6.701 6.701 90.00 90.00 90.00
Space group Fm-3m (No. 225)
Asymmetric unit:
Lu1 0.000 0.000 0.000
Cd1 0.000 0.000 0.500
Pt1 0.250 0.250 0.250

=====

Diffraction record for Lu4CdPt. The powder diffractogram is computed, not measured: it uses a GGA-PBE-relaxed structure and Cu Ka.
Intensities are scaled so that the largest is 100.

Most intense lines, 2θ = 10–80°, most intense first:
2θ (°)  d (Å)  I (rel.)  index
34.77  2.580  100.0  5 1 1
32.72  2.737  40.5  4 2 2
58.41  1.580  39.8  6 6 0
37.96  2.370  35.2  4 4 0
29.03  3.076  18.0  3 3 1
59.73  1.548  13.9  5 5 5
69.80  1.347  13.0  9 3 3
72.99  1.296  12.0  9 5 1
52.42  1.745  10.1  5 5 3
11.43  7.741  9.1  1 1 1

Structural model:
Lattice parameters (Å, degrees): 13.407 13.407 13.407 90.00 90.00 90.00
Space group F-43m (No. 216)
Asymmetric unit:
Lu1 0.000 0.000 0.185
Lu2 0.061 0.250 0.750
Lu3 0.102 0.102 0.398
Cd1 0.168 0.168 0.168
Pt1 0.107 0.107 0.607

=====

Diffraction record for LuCdRh2. The powder diffractogram is computed, not measured: it uses a GGA-PBE-relaxed structure and Cu Ka.
Intensities are scaled so that the largest is 100.

Most intense lines, 2θ = 10–80°, most intense first:
2θ (°)  d (Å)  I (rel.)  index
38.74  2.325  100.0  2 2 0
70.12  1.342  33.9  4 2 2
55.94  1.644  16.9  4 0 0
23.44  3.796  3.2  1 1 1
27.12  3.287  2.9  2 0 0
45.77  1.982  1.8  3 1 1
63.25  1.470  1.1  4 2 0
47.93  1.898  0.9  2 2 2
61.47  1.508  0.8  3 3 1
75.07  1.265  0.6  5 1 1

Structural model:
Lattice parameters (Å, degrees): 6.575 6.575 6.575 90.00 90.00 90.00
Space group Fm-3m (No. 225)
Asymmetric unit:
Lu1 0.000 0.000 0.000
Cd1 0.000 0.000 0.500
Rh1 0.250 0.250 0.250

=====

Diffraction record for Lu2CdSe4. The powder diffractogram is computed, not measured: it uses a GGA-PBE-relaxed structure and Cu Ka.
Intensities are scaled so that the largest is 100.

Most intense lines, 2θ = 10–80°, most intense first:
2θ (°)  d (Å)  I (rel.)  index
43.99  2.058  100.0  4 4 0
25.37  3.510  90.1  3 1 1
30.72  2.911  67.7  4 0 0
40.25  2.241  47.2  5 1 1
13.17  6.722  29.8  1 1 1
72.63  1.302  21.0  8 4 0
61.14  1.516  20.7  5 5 3
54.61  1.681  17.0  4 4 4
63.97  1.455  15.7  8 0 0
21.59  4.116  15.6  2 2 0

Structural model:
Lattice parameters (Å, degrees): 11.643 11.643 11.643 90.00 90.00 90.00
Space group Fd-3m (No. 227, origin choice 2)
Asymmetric unit:
Lu1 0.000 0.000 0.000
Cd1 0.125 0.125 0.625
Se1 0.008 0.008 0.242

=====

Diffraction record for MgCd2. The powder diffractogram is computed, not measured: it uses a GGA-PBE-relaxed structure and Cu Ka.
Intensities are scaled so that the largest is 100.

Most intense lines, 2θ = 10–80°, most intense first:
2θ (°)  d (Å)  I (rel.)  index
36.64  2.452  100.0  3 1 0
31.57  2.834  33.0  1 1 1
36.71  2.448  31.7  4 0 -2
37.25  2.414  23.9  4 0 1
37.43  2.402  23.5  0 0 3
18.12  4.896  22.4  2 0 -1
32.35  2.767  17.5  2 0 2
57.23  1.610  17.1  3 1 3
65.96  1.416  12.4  7 1 -2
12.28  7.207  11.5  0 0 1

Structural model:
Lattice parameters (Å, degrees): 11.274 3.299 7.367 90.00 101.94 90.00
Space group Cm (No. 8)
Asymmetric unit:
Mg1 0.000 0.000 0.000
Mg2 0.173 0.500 0.342
Cd1 0.114 0.500 0.730
Cd2 0.279 0.000 0.066
Cd3 0.338 0.000 0.673
Cd4 0.451 0.500 0.388

=====

Diffraction record for MgCd2. The powder diffractogram is computed, not measured: it uses a GGA-PBE-relaxed structure and Cu Ka.
Intensities are scaled so that the largest is 100.

Most intense lines, 2θ = 10–80°, most intense first:
2θ (°)  d (Å)  I (rel.)  index
37.35  2.407  100.0  1 1 1
32.93  2.720  31.0  1 1 0
34.71  2.585  26.2  0 0 2
48.59  1.874  20.1  1 1 2
63.96  1.456  19.3  1 1 3
70.11  1.342  18.7  3 0 2
17.15  5.169  17.9  0 0 1
58.79  1.571  16.2  3 0 0
71.76  1.315  13.6  2 2 1
25.58  3.482  11.0  1 0 1

Structural model:
Lattice parameters (Å, degrees): 5.4407 5.4407 5.1692 90.00 90.00 120.00
Space group P-62m (No. 189)
Asymmetric unit:
Mg1 0.3333 0.6667 0.0000
Cd1 0.0000 0.0000 0.0000
Cd2 0.0000 0.6653 0.5000

=====

Diffraction record for MgCd2. The powder diffractogram is computed, not measured: it uses a GGA-PBE-relaxed structure and Cu Ka.
Intensities are scaled so that the largest is 100.

Most intense lines, 2θ = 10–80°, most intense first:
2θ (°)  d (Å)  I (rel.)  index
37.32  2.410  100.0  1 0 3
33.69  2.661  33.6  0 0 6
33.15  2.703  30.4  1 0 0
47.99  1.896  20.7  1 0 6
62.66  1.483  20.4  1 0 9
69.89  1.346  19.3  1 1 6
16.66  5.320  19.0  0 0 3
59.22  1.560  15.8  1 1 0
72.12  1.310  13.4  2 0 3
11.09  7.980  9.9  0 0 2

Structural model:
Lattice parameters (Å, degrees): 3.1208 3.1208 15.9592 90.00 90.00 120.00
Space group P-6m2 (No. 187)
Asymmetric unit:
Mg1 0.0000 0.0000 0.1663
Cd1 0.0000 0.0000 0.5000
Cd2 0.6667 0.3333 0.0000
Cd3 0.6667 0.3333 0.3308

=====

Diffraction record for MgCd2. The powder diffractogram is computed, not measured: it uses a GGA-PBE-relaxed structure and Cu Ka.
Intensities are scaled so that the largest is 100.

Most intense lines, 2θ = 10–80°, most intense first:
2θ (°)  d (Å)  I (rel.)  index
36.71  2.448  100.0  3 1 0
37.47  2.400  86.8  1 1 -2
12.64  7.005  79.0  0 0 1
34.34  2.611  74.6  4 0 -2
37.07  2.425  46.4  4 0 1
32.73  2.736  44.1  1 1 1
38.56  2.335  41.0  0 0 3
69.06  1.360  35.9  4 2 -2
59.45  1.555  30.0  3 1 3
25.43  3.502  23.9  0 0 2

Structural model:
Lattice parameters (Å, degrees): 11.966 3.185 7.303 90.00 106.45 90.00
Space group C2/m (No. 12)
Asymmetric unit:
Mg1 0.138 0.000 0.030
Cd1 0.027 0.500 0.301
Cd2 0.196 0.000 0.646

=====

Diffraction record for MgCd2. The powder diffractogram is computed, not measured: it uses a GGA-PBE-relaxed structure and Cu Ka.
Intensities are scaled so that the largest is 100.

Most intense lines, 2θ = 10–80°, most intense first:
2θ (°)  d (Å)  I (rel.)  index
37.34  2.408  100.0  3 1 1
37.78  2.381  45.5  0 2 1
34.65  2.589  40.3  0 0 2
25.70  3.466  32.0  1 1 1
18.74  4.736  22.4  2 0 0
32.92  2.721  21.8  3 1 0
63.88  1.457  19.4  3 1 3
70.65  1.333  18.5  3 3 2
59.42  1.556  15.9  3 3 0
48.55  1.875  14.2  3 1 2

Structural model:
Lattice parameters (Å, degrees): 9.471 5.363 5.177 90.00 90.00 90.00
Space group Cmcm (No. 63)
Asymmetric unit:
Mg1 0.000 0.175 0.250
Cd1 0.167 0.331 0.750